Computed powder diffractogram
Compound: RbLiH4N2
Radiation: a wavelength of 1.5418 Å
Structure: a crystal structure in the Materials Project, relaxed with PBE

Cell and atoms:
a = 7.882 Å, b = 3.878 Å, c = 11.726 Å
α = 90.00°, β = 90.00°, γ = 90.00°
Space group Pnma (No. 62)
Inequivalent atoms, fractional coordinates:
Rb1 0.125 0.250 0.241 (multiplicity 4)
Li1 0.113 0.750 0.002 (multiplicity 4)
H1 0.105 0.045 0.574 (multiplicity 8)
H2 0.125 0.250 0.825 (multiplicity 4)
H3 0.242 0.250 0.938 (multiplicity 4)
N1 0.117 0.250 0.912 (multiplicity 4)
N2 0.166 0.250 0.612 (multiplicity 4)

Top 10 peaks for 2θ = 10–80°, sorted by position:
2θ = 15.1°, I = 100.0, (0 0 2)
2θ = 23.8°, I = 67.8, (2 0 1)
2θ = 24.2°, I = 63.6, (0 1 1)
2θ = 32.3°, I = 87.2, (2 0 3)
2θ = 32.4°, I = 82.8, (2 1 0)
2θ = 32.5°, I = 88.7, (0 1 3)
2θ = 35.9°, I = 71.5, (2 1 2)
2θ = 45.0°, I = 38.3, (2 0 5)
2θ = 57.8°, I = 26.2, (2 1 6)
2θ = 58.0°, I = 26.1, (2 2 3)

Computed powder diffractogram
Compound: LiSnH6N3
Radiation: a wavelength of 1.5418 Å
Structure: a crystal structure in the Materials Project, relaxed with PBE

Cell and atoms:
a = 8.807 Å, b = 7.785 Å, c = 12.101 Å
α = 90.00°, β = 131.61°, γ = 90.00°
Space group P2_1/c (No. 14)
Inequivalent atoms, fractional coordinates:
Li1 0.131 0.009 0.475 (multiplicity 4)
Sn1 0.178 0.663 0.711 (multiplicity 4)
H1 0.170 0.700 0.413 (multiplicity 4)
H2 0.189 0.225 0.870 (multiplicity 4)
H3 0.226 0.163 0.014 (multiplicity 4)
H4 0.242 0.013 0.756 (multiplicity 4)
H5 0.378 0.568 0.225 (multiplicity 4)
H6 0.378 0.692 0.999 (multiplicity 4)
N1 0.138 0.242 0.924 (multiplicity 4)
N2 0.224 0.685 0.912 (multiplicity 4)
N3 0.232 0.567 0.185 (multiplicity 4)

Top 10 peaks for 2θ = 10–80°, sorted by position:
2θ = 13.4°, I = 39.9, (1 0 0)
2θ = 15.2°, I = 22.9, (1 1 -1)
2θ = 17.6°, I = 87.4, (1 1 0)
2θ = 18.6°, I = 100.0, (1 1 -2)
2θ = 19.6°, I = 30.1, (0 0 2)
2θ = 20.2°, I = 26.4, (2 0 -2)
2θ = 24.9°, I = 36.9, (0 2 1)
2θ = 29.5°, I = 34.9, (2 0 -4)
2θ = 36.1°, I = 27.0, (1 3 -1)
2θ = 41.2°, I = 21.5, (3 0 0)

Computed powder diffractogram
Compound: Sr2LiH2N
Radiation: a wavelength of 1.5418 Å
Structure: a crystal structure in the Materials Project, relaxed with PBE

Cell and atoms:
a = 7.295 Å, b = 3.844 Å, c = 14.266 Å
α = 90.00°, β = 90.00°, γ = 90.00°
Space group Pnma (No. 62)
Inequivalent atoms, fractional coordinates:
Sr1 0.114 0.250 0.088 (multiplicity 4)
Sr2 0.141 0.250 0.398 (multiplicity 4)
Li1 0.117 0.250 0.769 (multiplicity 4)
H1 0.115 0.750 0.731 (multiplicity 4)
H2 0.120 0.250 0.578 (multiplicity 4)
N1 0.132 0.250 0.907 (multiplicity 4)

Top 10 peaks for 2θ = 10–80°, sorted by position:
2θ = 12.4°, I = 62.5, (0 0 2)
2θ = 24.0°, I = 48.9, (0 1 1)
2θ = 25.0°, I = 51.2, (0 0 4)
2θ = 25.2°, I = 38.5, (2 0 1)
2θ = 29.9°, I = 94.4, (0 1 3)
2θ = 30.9°, I = 87.3, (2 0 3)
2θ = 33.9°, I = 100.0, (2 1 0)
2θ = 42.5°, I = 48.0, (2 1 4)
2θ = 51.7°, I = 47.1, (2 1 6)
2θ = 57.6°, I = 30.4, (2 2 3)

Computed powder diffractogram
Compound: Na2LiP3H8O13
Radiation: a wavelength of 1.5418 Å
Structure: a crystal structure in the Materials Project, relaxed with PBE

Cell and atoms:
a = 6.979 Å, b = 9.463 Å, c = 9.995 Å
α = 94.91°, β = 104.26°, γ = 107.92°
Space group P-1 (No. 2)
Inequivalent atoms, fractional coordinates:
Na1 0.069 0.447 0.350 (multiplicity 2)
Na2 0.310 0.840 0.535 (multiplicity 2)
Li1 0.136 0.248 0.111 (multiplicity 2)
P1 0.233 0.204 0.535 (multiplicity 2)
P2 0.323 0.279 0.839 (multiplicity 2)
P3 0.423 0.519 0.679 (multiplicity 2)
H1 0.015 0.959 0.133 (multiplicity 2)
H2 0.070 0.712 0.215 (multiplicity 2)
H3 0.157 0.066 0.275 (multiplicity 2)
H4 0.219 0.806 0.843 (multiplicity 2)
H5 0.228 0.703 0.955 (multiplicity 2)
H6 0.296 0.707 0.244 (multiplicity 2)
H7 0.423 0.077 0.180 (multiplicity 2)
H8 0.473 0.045 0.823 (multiplicity 2)
O1 0.036 0.218 0.445 (multiplicity 2)
O2 0.127 0.724 0.877 (multiplicity 2)
O3 0.133 0.055 0.173 (multiplicity 2)
O4 0.172 0.241 0.926 (multiplicity 2)
O5 0.180 0.694 0.287 (multiplicity 2)
O6 0.196 0.172 0.687 (multiplicity 2)
O7 0.263 0.581 0.601 (multiplicity 2)
O8 0.326 0.095 0.482 (multiplicity 2)
O9 0.339 0.447 0.806 (multiplicity 2)
O10 0.351 0.385 0.265 (multiplicity 2)
O11 0.420 0.369 0.584 (multiplicity 2)
O12 0.439 0.937 0.791 (multiplicity 2)
O13 0.463 0.736 0.113 (multiplicity 2)

Top 10 peaks for 2θ = 10–80°, sorted by position:
2θ = 14.1°, I = 100.0, (1 -1 0)
2θ = 14.3°, I = 27.7, (1 0 -1)
2θ = 18.9°, I = 20.8, (1 0 1)
2θ = 22.7°, I = 26.0, (0 1 2)
2θ = 26.9°, I = 28.2, (2 0 -1)
2θ = 28.1°, I = 39.7, (0 1 -3)
2θ = 28.4°, I = 60.5, (2 -2 0)
2θ = 29.3°, I = 34.3, (1 1 -3)
2θ = 29.8°, I = 31.2, (0 2 2)
2θ = 30.1°, I = 76.0, (0 3 -1)

Computed powder diffractogram
Compound: Na3LiTi2Si4H4O16
Radiation: a wavelength of 1.5418 Å
Structure: a crystal structure in the Materials Project, relaxed with PBE

Cell and atoms:
a = 28.885 Å, b = 8.674 Å, c = 5.279 Å
α = 90.00°, β = 90.39°, γ = 90.00°
Space group C2/c (No. 15)
Inequivalent atoms, fractional coordinates:
Na1 0.000 0.151 0.250 (multiplicity 4)
Na2 0.166 0.309 0.616 (multiplicity 8)
Li1 0.000 0.490 0.750 (multiplicity 4)
Ti1 0.165 0.094 0.124 (multiplicity 8)
Si1 0.092 0.401 0.036 (multiplicity 8)
Si2 0.236 0.407 0.208 (multiplicity 8)
H1 0.044 0.181 0.741 (multiplicity 8)
H2 0.078 0.082 0.573 (multiplicity 8)
O1 0.038 0.373 0.018 (multiplicity 8)
O2 0.045 0.100 0.610 (multiplicity 8)
O3 0.110 0.478 0.309 (multiplicity 8)
O4 0.125 0.248 0.995 (multiplicity 8)
O5 0.136 0.069 0.432 (multiplicity 8)
O6 0.207 0.086 0.787 (multiplicity 8)
O7 0.213 0.238 0.238 (multiplicity 8)
O8 0.215 0.490 0.949 (multiplicity 8)

Top 10 peaks for 2θ = 10–80°, sorted by position:
2θ = 18.4°, I = 37.0, (5 1 0)
2θ = 19.9°, I = 33.5, (1 1 1)
2θ = 23.9°, I = 40.5, (7 1 0)
2θ = 29.4°, I = 100.0, (4 2 1)
2θ = 29.7°, I = 41.4, (9 1 0)
2θ = 32.5°, I = 53.0, (6 2 -1)
2θ = 32.6°, I = 25.0, (6 2 1)
2θ = 34.5°, I = 22.9, (2 0 -2)
2θ = 41.9°, I = 30.4, (7 1 -2)
2θ = 56.9°, I = 26.1, (2 2 3)

Computed powder diffractogram
Compound: LiH3O2
Radiation: a wavelength of 1.5418 Å
Structure: a crystal structure in the Materials Project, relaxed with PBE

Cell and atoms:
a = 7.520 Å, b = 8.344 Å, c = 3.247 Å
α = 90.00°, β = 111.14°, γ = 90.00°
Space group C2/m (No. 12)
Inequivalent atoms, fractional coordinates:
Li1 0.000 0.154 0.000 (multiplicity 4)
H1 0.113 0.368 0.631 (multiplicity 8)
H2 0.237 0.000 0.849 (multiplicity 4)
O1 0.000 0.293 0.500 (multiplicity 4)
O2 0.217 0.000 0.130 (multiplicity 4)

Top 10 peaks for 2θ = 10–80°, sorted by position:
2θ = 29.6°, I = 67.3, (1 1 -1)
2θ = 31.3°, I = 24.8, (2 0 -1)
2θ = 33.4°, I = 100.0, (2 2 0)
2θ = 34.7°, I = 12.5, (1 3 0)
2θ = 36.7°, I = 42.0, (0 2 1)
2θ = 46.1°, I = 9.6, (2 0 1)
2θ = 49.3°, I = 15.9, (1 3 1)
2θ = 51.7°, I = 22.2, (3 3 -1)
2θ = 52.2°, I = 9.9, (4 0 0)
2θ = 62.6°, I = 7.7, (1 5 -1)

Computed powder diffractogram
Compound: LiHO
Radiation: a wavelength of 1.5418 Å
Structure: a crystal structure in the Materials Project, relaxed with PBE

Cell and atoms:
a = 3.591 Å, b = 3.591 Å, c = 4.410 Å
α = 90.00°, β = 90.00°, γ = 90.00°
Space group P4/nmm (No. 129, origin choice 2)
Inequivalent atoms, fractional coordinates:
Li1 0.250 0.750 0.000 (multiplicity 2)
H1 0.250 0.250 0.413 (multiplicity 2)
O1 0.250 0.250 0.193 (multiplicity 2)

Top 10 peaks for 2θ = 10–80°, sorted by position:
2θ = 20.1°, I = 30.0, (0 0 1)
2θ = 32.1°, I = 100.0, (1 0 1)
2θ = 35.3°, I = 23.1, (1 1 0)
2θ = 48.4°, I = 8.6, (1 0 2)
2θ = 50.8°, I = 20.4, (2 0 0)
2θ = 55.2°, I = 24.0, (1 1 2)
2θ = 61.4°, I = 17.4, (2 1 1)
2θ = 72.9°, I = 3.6, (2 1 2)
2θ = 74.6°, I = 7.2, (1 1 3)
2θ = 74.8°, I = 4.5, (2 2 0)

Computed powder diffractogram
Compound: LiHO
Radiation: a wavelength of 1.5418 Å
Structure: a crystal structure in the Materials Project, relaxed with PBE

Cell and atoms:
a = 4.556 Å, b = 5.046 Å, c = 5.027 Å
α = 90.00°, β = 90.00°, γ = 90.00°
Space group Aem2 (No. 39)
Inequivalent atoms, fractional coordinates:
Li1 0.000 0.000 0.000 (multiplicity 4)
H1 0.397 0.250 0.210 (multiplicity 4)
O1 0.190 0.250 0.248 (multiplicity 4)

Top 10 peaks for 2θ = 10–80°, sorted by position:
2θ = 19.5°, I = 34.8, (1 0 0)
2θ = 31.9°, I = 100.0, (1 1 1)
2θ = 35.6°, I = 11.0, (0 2 0)
2θ = 35.7°, I = 10.6, (0 0 2)
2θ = 47.4°, I = 10.0, (2 1 1)
2θ = 51.3°, I = 19.1, (0 2 2)
2θ = 54.3°, I = 17.7, (2 0 2)
2θ = 61.6°, I = 8.3, (1 3 1)
2θ = 61.8°, I = 8.1, (1 1 3)
2θ = 72.7°, I = 7.9, (3 0 2)